No. 1
Diffraction record for Ta2B. The powder diffractogram is computed, not measured: it uses the GGA-PBE geometry in the Materials Project and copper Kα.

Cell and atoms:
```
Ta2B
1.0
-2.9025 2.9025 2.4524
2.9025 -2.9025 2.4524
2.9025 2.9025 -2.4524
Ta B
4 2
Cartesian
3.8760 0.9734 0.0000
0.9734 1.9291 0.0000
1.9291 0.9734 2.4524
-0.9734 1.9291 2.4524
0.0000 0.0000 1.2262
0.0000 0.0000 3.6787
```

Main lines, sorted by position (10 to 80 degrees two-theta):
Position (°2θ)	d [Å]	intensity
30.81	2.903	20
36.64	2.452	26
39.26	2.295	100
48.60	1.873	14
49.66	1.836	12
63.28	1.470	10
67.73	1.383	20
69.45	1.353	20



No. 2
Diffraction record for TaB. The powder diffractogram is computed, not measured: it uses the GGA-PBE geometry in the Materials Project and copper Kα.

Cell and atoms:
```
TaB
1.0
1.6473 -4.3589 0.0000
1.6473 4.3589 0.0000
0.0000 0.0000 3.1719
Ta B
2 2
Cartesian
1.6473 3.0910 2.3790
1.6473 -3.0910 0.7930
1.6473 0.5197 2.3790
1.6473 -0.5197 0.7930
```

Main lines, sorted by position (10 to 80 degrees two-theta):
Position (°2θ)	d [Å]	intensity
28.97	3.082	59
34.99	2.565	100
40.83	2.210	98
41.43	2.179	90
50.83	1.796	26
55.81	1.647	16
67.59	1.386	62
73.91	1.282	33



No. 3
Diffraction record for Ta5B6. The powder diffractogram is computed, not measured: it uses the GGA-PBE geometry in the Materials Project and copper Kα.

Cell and atoms:
```
Ta5B6
1.0
1.5797 -11.3716 0.0000
1.5797 11.3716 0.0000
0.0000 0.0000 3.3072
Ta B
5 6
Cartesian
0.0000 0.0000 0.0000
1.5797 6.9479 1.6536
1.5797 2.5989 0.0000
1.5797 -2.5989 0.0000
1.5797 -6.9479 1.6536
1.5797 9.4996 1.6536
1.5797 5.1597 0.0000
1.5797 0.9031 1.6536
1.5797 -0.9031 1.6536
1.5797 -5.1597 0.0000
1.5797 -9.4996 1.6536
```

Main lines, sorted by position (10 to 80 degrees two-theta):
Position (°2θ)	d [Å]	intensity
28.10	3.176	53
34.57	2.595	100
39.63	2.274	36
41.27	2.187	90
41.91	2.156	62
67.12	1.394	30
67.43	1.389	31
74.46	1.274	23



No. 4
Diffraction record for Ta3TiB4. The powder diffractogram is computed, not measured: it uses the GGA-PBE geometry in the Materials Project and copper Kα.

Cell and atoms:
```
Ta3TiB4
1.0
3.1426 0.0000 0.0000
0.0000 3.2821 0.0000
0.0000 0.0000 8.6895
Ta Ti B
3 1 4
Cartesian
0.0000 0.0000 0.0000
0.0000 1.6410 4.2928
1.5713 1.6410 6.8538
1.5713 0.0000 2.5012
0.0000 0.0000 6.0977
0.0000 1.6410 1.7727
1.5713 0.0000 5.0523
1.5713 1.6410 0.7591
```

Main lines, sorted by position (10 to 80 degrees two-theta):
Position (°2θ)	d [Å]	intensity
10.18	8.689	43
29.08	3.070	63
35.25	2.546	97
41.10	2.196	100
41.58	2.172	91
51.12	1.787	31
67.94	1.380	60
74.54	1.273	33



No. 5
Diffraction record for TaVB4. The powder diffractogram is computed, not measured: it uses the GGA-PBE geometry in the Materials Project and copper Kα.

Cell and atoms:
```
TaVB4
1.0
3.0610 0.0000 0.0000
-1.5305 2.6509 0.0000
0.0000 0.0000 6.3300
Ta V B
1 1 4
Cartesian
0.0000 0.0000 0.0000
0.0000 0.0000 3.1650
0.0000 1.7673 1.6662
0.0000 1.7673 4.6637
1.5305 0.8836 1.6662
1.5305 0.8836 4.6637
```

Main lines, sorted by position (10 to 80 degrees two-theta):
Position (°2θ)	d [Å]	intensity
13.99	6.330	73
28.20	3.165	37
33.81	2.651	83
36.76	2.445	49
44.59	2.032	100
60.49	1.531	22
68.04	1.378	19
69.13	1.359	21



No. 6
Diffraction record for TaB4W3. The powder diffractogram is computed, not measured: it uses the GGA-PBE geometry in the Materials Project and copper Kα.

Cell and atoms:
```
TaB4W3
1.0
3.1139 0.0000 0.0000
0.0000 3.2114 0.0000
0.0000 0.0000 8.5991
Ta B W
1 4 3
Cartesian
0.0000 0.0000 0.0000
0.0000 0.0000 2.5350
0.0000 1.6057 6.8218
1.5570 0.0000 3.5812
1.5570 1.6057 7.8343
0.0000 1.6057 4.2914
1.5570 0.0000 6.0806
1.5570 1.6057 1.8341
```

Main lines, sorted by position (10 to 80 degrees two-theta):
Position (°2θ)	d [Å]	intensity
29.70	3.008	59
35.60	2.522	100
41.75	2.164	95
42.03	2.150	28
42.26	2.138	62
68.88	1.363	31
69.38	1.354	30
75.54	1.259	23



No. 7
Diffraction record for TbB2. The powder diffractogram is computed, not measured: it uses the GGA-PBE geometry in the Materials Project and copper Kα.

Cell and atoms:
```
TbB2
1.0
3.3089 0.0000 0.0000
-1.6545 2.8656 0.0000
0.0000 0.0000 3.8984
Tb B
1 2
Cartesian
0.0000 0.0000 0.0000
0.0000 1.9104 1.9492
1.6545 0.9552 1.9492
```

Main lines, sorted by position (10 to 80 degrees two-theta):
Position (°2θ)	d [Å]	intensity
22.81	3.898	47
31.21	2.866	74
39.01	2.309	100
55.55	1.654	19
57.15	1.612	28
60.82	1.523	21
69.95	1.345	18
75.35	1.261	16



No. 8
Diffraction record for TbVB4. The powder diffractogram is computed, not measured: it uses the GGA-PBE geometry in the Materials Project and copper Kα.

Cell and atoms:
```
TbVB4
1.0
6.0223 0.0000 0.0000
0.0000 11.6587 0.0000
0.0000 0.0000 3.4545
Tb V B
4 4 16
Cartesian
0.7466 1.7656 0.0000
2.2646 7.5950 0.0000
3.7577 4.0638 0.0000
5.2757 9.8931 0.0000
0.7660 4.8609 0.0000
2.2451 10.6903 0.0000
3.7772 0.9684 0.0000
5.2563 6.7978 0.0000
0.1385 8.0644 1.7273
0.6883 6.3796 1.7273
0.8212 11.2784 1.7273
1.2933 9.4974 1.7273
1.7179 3.6681 1.7273
2.1899 5.4490 1.7273
2.3228 0.5502 1.7273
2.8727 2.2350 1.7273
3.1496 9.4237 1.7273
3.6995 11.1085 1.7273
3.8324 6.2097 1.7273
4.3044 7.9907 1.7273
4.7290 2.1613 1.7273
5.2011 0.3803 1.7273
5.3340 5.2792 1.7273
5.8838 3.5943 1.7273
```

Main lines, sorted by position (10 to 80 degrees two-theta):
Position (°2θ)	d [Å]	intensity
21.21	4.189	31
25.79	3.455	63
27.31	3.265	38
30.67	2.915	84
33.63	2.665	26
37.92	2.373	40
40.49	2.228	100
43.31	2.089	24



No. 9
Diffraction record for Tb3B7W. The powder diffractogram is computed, not measured: it uses the GGA-PBE geometry in the Materials Project and copper Kα.

Cell and atoms:
```
Tb3B7W
1.0
1.7432 -8.0422 0.0000
1.7432 8.0422 0.0000
0.0000 0.0000 9.5258
Tb B W
6 14 2
Cartesian
1.7432 6.3240 5.3382
1.7432 6.3240 8.9504
1.7432 4.1275 2.3814
1.7432 -4.1275 7.1443
1.7432 -6.3240 0.5753
1.7432 -6.3240 4.1876
1.7432 3.6555 5.0746
1.7432 3.6555 9.2140
1.7432 2.1604 6.1661
1.7432 2.1604 8.1226
1.7432 0.6945 2.3814
1.7432 0.3197 5.6420
1.7432 0.3197 8.6467
1.7432 -0.3197 0.8791
1.7432 -0.3197 3.8838
1.7432 -0.6945 7.1443
1.7432 -2.1604 1.4032
1.7432 -2.1604 3.3597
1.7432 -3.6555 0.3117
1.7432 -3.6555 4.4511
1.7432 7.1857 2.3814
1.7432 -7.1857 7.1443
```

Main lines, sorted by position (10 to 80 degrees two-theta):
Position (°2θ)	d [Å]	intensity
26.15	3.407	100
29.06	3.073	77
30.26	2.953	71
33.43	2.681	32
36.05	2.492	39
38.77	2.323	83
39.26	2.295	65
42.02	2.150	27



No. 10
Diffraction record for TcB. The powder diffractogram is computed, not measured: it uses the GGA-PBE geometry in the Materials Project and copper Kα.

Cell and atoms:
```
TcB
1.0
2.8754 0.0000 0.0000
-1.4377 2.4902 0.0000
0.0000 0.0000 5.9459
Tc B
2 2
Cartesian
0.0000 0.0000 0.0000
0.0000 0.0000 2.9729
0.0000 1.6601 1.4865
1.4377 0.8301 4.4594
```

Main lines, sorted by position (10 to 80 degrees two-theta):
Position (°2θ)	d [Å]	intensity
30.06	2.973	48
36.07	2.490	96
47.64	1.909	100
62.48	1.486	8
64.85	1.438	20
73.11	1.294	22
74.31	1.276	22
76.51	1.245	10



No. 11
Diffraction record for Tc3B. The powder diffractogram is computed, not measured: it uses the GGA-PBE geometry in the Materials Project and copper Kα.

Cell and atoms:
```
Tc3B
1.0
1.4584 -4.6385 0.0000
1.4584 4.6385 0.0000
0.0000 0.0000 7.2614
Tc B
6 2
Cartesian
1.4584 3.9379 5.4460
1.4584 1.2531 4.0841
1.4584 1.2531 6.8079
1.4584 -1.2531 0.4534
1.4584 -1.2531 3.1772
1.4584 -3.9379 1.8153
1.4584 2.3759 1.8153
1.4584 -2.3759 5.4460
```

Main lines, sorted by position (10 to 80 degrees two-theta):
Position (°2θ)	d [Å]	intensity
34.52	2.598	36
38.83	2.319	34
40.86	2.209	100
42.11	2.146	80
42.61	2.122	36
44.48	2.037	43
71.81	1.315	23
79.44	1.206	38



No. 12
Diffraction record for TcB. The powder diffractogram is computed, not measured: it uses the GGA-PBE geometry in the Materials Project and copper Kα.

Cell and atoms:
```
TcB
1.0
2.7334 0.0000 0.0000
0.0000 2.7334 0.0000
0.0000 0.0000 2.7334
Tc B
1 1
Cartesian
0.0000 0.0000 0.0000
1.3667 1.3667 1.3667
```

Main lines, sorted by position (10 to 80 degrees two-theta):
Position (°2θ)	d [Å]	intensity
32.76	2.733	100
47.01	1.933	97
58.48	1.578	25
68.68	1.367	15
78.20	1.222	32



No. 13
Diffraction record for TcB. The powder diffractogram is computed, not measured: it uses the GGA-PBE geometry in the Materials Project and copper Kα.

Cell and atoms:
```
TcB
1.0
0.0000 2.2026 2.2026
2.2026 0.0000 2.2026
2.2026 2.2026 0.0000
Tc B
1 1
Cartesian
0.0000 0.0000 0.0000
2.2026 2.2026 2.2026
```

Main lines, sorted by position (10 to 80 degrees two-theta):
Position (°2θ)	d [Å]	intensity
35.29	2.543	100
40.98	2.203	67
59.34	1.557	43
70.96	1.328	38
74.64	1.272	14



No. 14
Diffraction record for TcB4. The powder diffractogram is computed, not measured: it uses the GGA-PBE geometry in the Materials Project and copper Kα.

Cell and atoms:
```
TcB4
1.0
5.3116 0.0000 0.0000
-2.6558 4.6000 0.0000
0.0000 0.0000 6.4632
Tc B
4 16
Cartesian
0.0000 0.0000 1.6158
0.0000 0.0000 4.8474
0.0000 3.0666 1.6158
2.6558 1.5333 4.8474
-0.8925 1.5459 0.0000
-0.8925 1.5459 3.2316
-1.7633 3.0540 0.0000
-1.7633 3.0540 3.2316
0.0000 3.0666 3.9954
0.0000 3.0666 5.6994
1.7851 0.0000 0.0000
1.7851 0.0000 3.2316
0.8925 1.5459 0.0000
0.8925 1.5459 3.2316
3.5265 0.0000 0.0000
3.5265 0.0000 3.2316
1.7633 3.0540 0.0000
1.7633 3.0540 3.2316
2.6558 1.5333 0.7638
2.6558 1.5333 2.4678
```

Main lines, sorted by position (10 to 80 degrees two-theta):
Position (°2θ)	d [Å]	intensity
23.74	3.748	63
27.60	3.232	27
33.75	2.656	81
44.14	2.052	100
46.55	1.951	16
60.38	1.533	29
67.90	1.380	15
77.76	1.228	18